No. 1
# Ac2Nd5Ho2
Computed powder XRD pattern, Cu Kα X-rays. Input: a crystal structure in Alexandria, relaxed with GGA-PBE.
Peak positions follow from Bragg's law for the DFT cell and can differ from measured ones.

Largest 10 diffraction maxima, in order of falling intensity, 10° ≤ 2θ ≤ 90°:
2θ = 30.31°, rel. 100.0; 2θ = 31.57°, rel. 58.1; 2θ = 29.94°, rel. 52.8; 2θ = 31.16°, rel. 46.4; 2θ = 28.49°, rel. 33.7; 2θ = 46.46°, rel. 22.3; 2θ = 59.57°, rel. 16.3; 2θ = 58.85°, rel. 15.8; 2θ = 59.10°, rel. 15.1; 2θ = 49.40°, rel. 14.5

Cell and atoms:
Unit cell a=9.076 b=3.690 c=10.124 alpha=90.00 beta=103.29 gamma=90.00
Element x y z (fractional)
Ac 0.022 0.000 0.186
Ac 0.978 0.000 0.814
Nd 0.000 0.500 0.500
Nd 0.325 0.500 0.043
Nd 0.358 0.000 0.708
Nd 0.642 0.000 0.292
Nd 0.675 0.500 0.957
Ho 0.339 0.500 0.391
Ho 0.661 0.500 0.609

No. 2
# Pm5Zn3Si3
Computed powder XRD pattern, Cu Kα X-rays. Input: a crystal structure in Alexandria, relaxed with GGA-PBE.
Peak positions follow from Bragg's law for the DFT cell and can differ from measured ones.

Largest 10 diffraction maxima, in order of falling intensity, 10° ≤ 2θ ≤ 90°:
2θ = 36.80°, rel. 100.0; 2θ = 28.75°, rel. 69.5; 2θ = 29.88°, rel. 54.6; 2θ = 20.98°, rel. 50.6; 2θ = 34.00°, rel. 46.9; 2θ = 22.48°, rel. 35.8; 2θ = 53.02°, rel. 34.7; 2θ = 55.05°, rel. 27.6; 2θ = 40.29°, rel. 23.1; 2θ = 42.71°, rel. 22.7

Cell and atoms:
Unit cell a=9.135 b=9.135 c=4.234 alpha=90.00 beta=90.00 gamma=120.00
Element x y z (fractional)
Pm 0.000 0.252 0.000
Pm 0.252 0.000 0.000
Pm 0.333 0.667 0.000
Pm 0.667 0.333 0.000
Pm 0.748 0.748 0.000
Zn 0.000 0.733 0.500
Zn 0.267 0.267 0.500
Zn 0.733 0.000 0.500
Si 0.000 0.612 0.000
Si 0.388 0.388 0.000
Si 0.612 0.000 0.000

No. 3
# La3TbTh
Computed powder XRD pattern, Cu Kα X-rays. Input: a crystal structure in Alexandria, relaxed with GGA-PBE.
Peak positions follow from Bragg's law for the DFT cell and can differ from measured ones.

Largest 10 diffraction maxima, in order of falling intensity, 10° ≤ 2θ ≤ 90°:
2θ = 30.64°, rel. 100.0; 2θ = 33.49°, rel. 76.5; 2θ = 29.58°, rel. 71.2; 2θ = 29.76°, rel. 65.6; 2θ = 59.16°, rel. 56.9; 2θ = 49.87°, rel. 48.7; 2θ = 35.23°, rel. 40.2; 2θ = 51.47°, rel. 25.7; 2θ = 28.81°, rel. 21.0; 2θ = 83.29°, rel. 20.1

Cell and atoms:
Unit cell a=3.657 b=3.657 c=30.018 alpha=90.00 beta=90.00 gamma=120.00
Element x y z (fractional)
La 0.000 0.000 0.000
La 0.000 0.000 0.500
La 0.333 0.667 0.108
La 0.333 0.667 0.800
La 0.667 0.333 0.300
La 0.667 0.333 0.608
Tb 0.333 0.667 0.403
Tb 0.667 0.333 0.903
Th 0.000 0.000 0.204
Th 0.000 0.000 0.704

No. 4
# Ti2FeB2Ru4Rh
Computed powder XRD pattern, Cu Kα X-rays. Input: a crystal structure in Alexandria, relaxed with GGA-PBE.
Peak positions follow from Bragg's law for the DFT cell and can differ from measured ones.

Largest 10 diffraction maxima, in order of falling intensity, 10° ≤ 2θ ≤ 90°:
2θ = 43.39°, rel. 100.0; 2θ = 43.52°, rel. 98.3; 2θ = 37.22°, rel. 90.7; 2θ = 29.92°, rel. 79.9; 2θ = 40.34°, rel. 71.7; 2θ = 40.61°, rel. 69.5; 2θ = 46.85°, rel. 65.5; 2θ = 41.05°, rel. 48.0; 2θ = 44.17°, rel. 41.8; 2θ = 43.97°, rel. 40.9

Cell and atoms:
Unit cell a=9.156 b=2.986 c=9.222 alpha=90.00 beta=90.05 gamma=90.00
Element x y z (fractional)
Ti 0.174 0.000 0.181
Ti 0.324 0.000 0.671
Ti 0.676 0.000 0.329
Ti 0.826 0.000 0.819
Fe 0.000 0.000 0.500
Fe 0.500 0.000 0.000
B 0.122 0.000 0.873
B 0.376 0.000 0.374
B 0.624 0.000 0.626
B 0.878 0.000 0.127
Ru 0.000 0.500 0.000
Ru 0.075 0.500 0.712
Ru 0.211 0.500 0.426
Ru 0.426 0.500 0.211
Ru 0.500 0.500 0.500
Ru 0.574 0.500 0.789
Ru 0.789 0.500 0.574
Ru 0.925 0.500 0.288
Rh 0.287 0.500 0.926
Rh 0.713 0.500 0.074

No. 5
# Nd5Er12Tl2
Computed powder XRD pattern, Cu Kα X-rays. Input: a crystal structure in Alexandria, relaxed with GGA-PBE.
Peak positions follow from Bragg's law for the DFT cell and can differ from measured ones.

Largest 10 diffraction maxima, in order of falling intensity, 10° ≤ 2θ ≤ 90°:
2θ = 32.27°, rel. 100.0; 2θ = 32.06°, rel. 78.0; 2θ = 30.72°, rel. 62.3; 2θ = 34.00°, rel. 56.3; 2θ = 35.59°, rel. 52.0; 2θ = 31.28°, rel. 44.4; 2θ = 58.60°, rel. 30.3; 2θ = 31.10°, rel. 29.0; 2θ = 30.07°, rel. 24.4; 2θ = 36.64°, rel. 24.2

Cell and atoms:
Unit cell a=9.014 b=9.014 c=8.328 alpha=91.84 beta=91.84 gamma=62.46
Element x y z (fractional)
Nd 0.000 0.000 0.000
Nd 0.235 0.235 0.079
Nd 0.306 0.306 0.492
Nd 0.694 0.694 0.508
Nd 0.765 0.765 0.921
Er 0.037 0.671 0.263
Er 0.080 0.080 0.381
Er 0.180 0.567 0.836
Er 0.329 0.963 0.737
Er 0.433 0.820 0.164
Er 0.447 0.447 0.177
Er 0.553 0.553 0.823
Er 0.567 0.180 0.836
Er 0.671 0.037 0.263
Er 0.820 0.433 0.164
Er 0.920 0.920 0.619
Er 0.963 0.329 0.737
Tl 0.315 0.685 0.500
Tl 0.685 0.315 0.500

No. 6
# GdDyScHg
Computed powder XRD pattern, Cu Kα X-rays. Input: a crystal structure in Alexandria, relaxed with GGA-PBE.
Peak positions follow from Bragg's law for the DFT cell and can differ from measured ones.

Largest 10 diffraction maxima, in order of falling intensity, 10° ≤ 2θ ≤ 90°:
2θ = 33.67°, rel. 100.0; 2θ = 60.21°, rel. 37.6; 2θ = 48.36°, rel. 18.1; 2θ = 20.43°, rel. 16.8; 2θ = 80.72°, rel. 16.4; 2θ = 70.79°, rel. 11.6; 2θ = 39.70°, rel. 10.1; 2θ = 53.02°, rel. 4.5; 2θ = 74.57°, rel. 3.5; 2θ = 64.29°, rel. 3.5

Cell and atoms:
Unit cell a=5.324 b=5.324 c=5.324 alpha=60.00 beta=60.00 gamma=60.00
Element x y z (fractional)
Gd 0.000 0.000 0.000
Dy 0.500 0.500 0.500
Sc 0.750 0.750 0.750
Hg 0.250 0.250 0.250

No. 7
# PuThSb2N
Computed powder XRD pattern, Cu Kα X-rays. Input: a crystal structure in Alexandria, relaxed with GGA-PBE.
Peak positions follow from Bragg's law for the DFT cell and can differ from measured ones.

Largest 10 diffraction maxima, in order of falling intensity, 10° ≤ 2θ ≤ 90°:
2θ = 32.77°, rel. 100.0; 2θ = 31.02°, rel. 79.0; 2θ = 56.30°, rel. 43.8; 2θ = 44.45°, rel. 32.2; 2θ = 24.96°, rel. 20.9; 2θ = 37.66°, rel. 18.7; 2θ = 12.01°, rel. 16.4; 2θ = 59.61°, rel. 16.0; 2θ = 73.46°, rel. 13.9; 2θ = 64.67°, rel. 10.6

Cell and atoms:
Unit cell a=4.077 b=4.077 c=14.736 alpha=90.00 beta=90.00 gamma=90.00
Element x y z (fractional)
Pu 0.250 0.250 0.053
Pu 0.750 0.750 0.947
Th 0.250 0.250 0.578
Th 0.750 0.750 0.422
Sb 0.250 0.250 0.269
Sb 0.250 0.250 0.839
Sb 0.750 0.750 0.161
Sb 0.750 0.750 0.731
N 0.250 0.750 0.500
N 0.750 0.250 0.500

No. 8
# Si2PAuC
Computed powder XRD pattern, Cu Kα X-rays. Input: a crystal structure in Alexandria, relaxed with GGA-PBE.
Peak positions follow from Bragg's law for the DFT cell and can differ from measured ones.

Largest 10 diffraction maxima, in order of falling intensity, 10° ≤ 2θ ≤ 90°:
2θ = 21.34°, rel. 100.0; 2θ = 12.30°, rel. 85.1; 2θ = 29.91°, rel. 84.7; 2θ = 24.16°, rel. 69.3; 2θ = 24.75°, rel. 56.9; 2θ = 30.01°, rel. 50.0; 2θ = 43.33°, rel. 40.7; 2θ = 29.64°, rel. 34.6; 2θ = 25.23°, rel. 34.1; 2θ = 43.02°, rel. 29.6

Cell and atoms:
Unit cell a=3.289 b=4.475 c=7.368 alpha=83.07 beta=77.88 gamma=68.71
Element x y z (fractional)
Si 0.000 0.000 0.000
Si 0.232 0.159 0.341
P 0.666 0.434 0.190
Au 0.134 0.047 0.669
C 0.507 0.859 0.137

No. 9
# GaCuTe
Computed powder XRD pattern, Cu Kα X-rays. Input: a crystal structure in Alexandria, relaxed with GGA-PBE.
Peak positions follow from Bragg's law for the DFT cell and can differ from measured ones.

Largest 10 diffraction maxima, in order of falling intensity, 10° ≤ 2θ ≤ 90°:
2θ = 42.08°, rel. 100.0; 2θ = 27.72°, rel. 93.7; 2θ = 42.78°, rel. 90.4; 2θ = 29.65°, rel. 58.4; 2θ = 20.75°, rel. 37.9; 2θ = 77.38°, rel. 29.6; 2θ = 61.56°, rel. 29.6; 2θ = 47.36°, rel. 24.9; 2θ = 55.87°, rel. 17.3; 2θ = 51.13°, rel. 16.7

Cell and atoms:
Unit cell a=8.914 b=8.914 c=8.914 alpha=27.88 beta=27.88 gamma=27.88
Element x y z (fractional)
Ga 0.197 0.197 0.197
Ga 0.803 0.803 0.803
Cu 0.099 0.099 0.099
Cu 0.901 0.901 0.901
Te 0.395 0.395 0.395
Te 0.605 0.605 0.605

No. 10
# Dy6InPd
Computed powder XRD pattern, Cu Kα X-rays. Input: a crystal structure in Alexandria, relaxed with GGA-PBE.
Peak positions follow from Bragg's law for the DFT cell and can differ from measured ones.

Largest 10 diffraction maxima, in order of falling intensity, 10° ≤ 2θ ≤ 90°:
2θ = 33.84°, rel. 100.0; 2θ = 30.79°, rel. 75.1; 2θ = 27.55°, rel. 52.4; 2θ = 30.57°, rel. 38.8; 2θ = 46.77°, rel. 37.3; 2θ = 29.41°, rel. 35.2; 2θ = 46.03°, rel. 35.0; 2θ = 28.85°, rel. 33.4; 2θ = 61.08°, rel. 31.6; 2θ = 43.95°, rel. 29.8

Cell and atoms:
Unit cell a=6.791 b=6.791 c=6.775 alpha=103.01 beta=103.01 gamma=118.91
Element x y z (fractional)
Dy 0.018 0.425 0.245
Dy 0.230 0.230 0.773
Dy 0.425 0.018 0.245
Dy 0.575 0.982 0.755
Dy 0.770 0.770 0.227
Dy 0.982 0.575 0.755
In 0.500 0.500 0.500
Pd 0.000 0.000 0.000

No. 11
# Pr3Dy5S8
Computed powder XRD pattern, Cu Kα X-rays. Input: a crystal structure in Alexandria, relaxed with GGA-PBE.
Peak positions follow from Bragg's law for the DFT cell and can differ from measured ones.

Largest 10 diffraction maxima, in order of falling intensity, 10° ≤ 2θ ≤ 90°:
2θ = 31.77°, rel. 100.0; 2θ = 27.52°, rel. 58.8; 2θ = 45.28°, rel. 36.5; 2θ = 45.80°, rel. 35.6; 2θ = 27.12°, rel. 20.5; 2θ = 54.04°, rel. 19.6; 2θ = 56.82°, rel. 18.6; 2θ = 75.08°, rel. 15.9; 2θ = 75.85°, rel. 15.8; 2θ = 84.38°, rel. 12.1

Cell and atoms:
Unit cell a=8.011 b=8.011 c=8.011 alpha=59.28 beta=59.28 gamma=59.28
Element x y z (fractional)
Pr 0.000 0.500 0.500
Pr 0.500 0.000 0.500
Pr 0.500 0.500 0.000
Dy 0.000 0.000 0.000
Dy 0.000 0.000 0.500
Dy 0.000 0.500 0.000
Dy 0.500 0.000 0.000
Dy 0.500 0.500 0.500
S 0.238 0.750 0.750
S 0.244 0.244 0.244
S 0.250 0.250 0.762
S 0.250 0.762 0.250
S 0.750 0.238 0.750
S 0.750 0.750 0.238
S 0.756 0.756 0.756
S 0.762 0.250 0.250

No. 12
# TmScZnRu
Computed powder XRD pattern, Cu Kα X-rays. Input: a crystal structure in Alexandria, relaxed with GGA-PBE.
Peak positions follow from Bragg's law for the DFT cell and can differ from measured ones.

Largest 10 diffraction maxima, in order of falling intensity, 10° ≤ 2θ ≤ 90°:
2θ = 37.96°, rel. 100.0; 2θ = 68.56°, rel. 33.7; 2θ = 22.97°, rel. 25.6; 2θ = 54.76°, rel. 16.9; 2θ = 44.83°, rel. 13.9; 2θ = 81.14°, rel. 10.5; 2θ = 60.15°, rel. 6.0; 2θ = 85.72°, rel. 4.8; 2θ = 73.37°, rel. 4.6; 2θ = 26.59°, rel. 1.2

Cell and atoms:
Unit cell a=4.741 b=4.741 c=4.741 alpha=60.00 beta=60.00 gamma=60.00
Element x y z (fractional)
Tm 0.000 0.000 0.000
Sc 0.500 0.500 0.500
Zn 0.250 0.250 0.250
Ru 0.750 0.750 0.750

No. 13
# AcSn5Se7
Computed powder XRD pattern, Cu Kα X-rays. Input: a crystal structure in Alexandria, relaxed with GGA-PBE.
Peak positions follow from Bragg's law for the DFT cell and can differ from measured ones.

Largest 10 diffraction maxima, in order of falling intensity, 10° ≤ 2θ ≤ 90°:
2θ = 30.30°, rel. 100.0; 2θ = 29.20°, rel. 92.9; 2θ = 28.10°, rel. 46.7; 2θ = 24.91°, rel. 45.5; 2θ = 39.29°, rel. 43.7; 2θ = 42.29°, rel. 41.5; 2θ = 41.12°, rel. 36.9; 2θ = 42.71°, rel. 29.4; 2θ = 42.60°, rel. 25.4; 2θ = 42.47°, rel. 25.0

Cell and atoms:
Unit cell a=7.333 b=7.333 c=24.926 alpha=90.00 beta=90.00 gamma=146.11
Element x y z (fractional)
Ac 0.210 0.790 0.500
Ac 0.790 0.210 0.000
Sn 0.003 0.997 0.254
Sn 0.259 0.741 0.834
Sn 0.274 0.726 0.183
Sn 0.456 0.544 0.611
Sn 0.477 0.523 0.405
Sn 0.523 0.477 0.905
Sn 0.544 0.456 0.111
Sn 0.726 0.274 0.683
Sn 0.741 0.259 0.334
Sn 0.997 0.003 0.754
Se 0.089 0.911 0.650
Se 0.117 0.883 0.376
Se 0.166 0.834 0.934
Se 0.189 0.811 0.079
Se 0.359 0.641 0.720
Se 0.374 0.626 0.294
Se 0.448 0.552 0.009
Se 0.552 0.448 0.509
Se 0.626 0.374 0.794
Se 0.641 0.359 0.220
Se 0.811 0.189 0.579
Se 0.834 0.166 0.434
Se 0.883 0.117 0.876
Se 0.911 0.089 0.150